# 1
Diffraction record for Co4Ni11. The powder diffractogram is calculated, not measured: it uses a crystal structure in OQMD, relaxed with PBE and Cu Kα (λ = 1.5418 Å).
No peak broadening, texture or thermal motion is included.

Atomic structure:
```
Co4Ni11
1.0
8.542 0.000 0.000
0.000 8.542 0.000
0.000 0.000 4.500
Co Ni
8 22
Cartesian
0.310 3.150 0.000 Co
1.121 4.581 2.250 Co
3.150 0.310 0.000 Co
3.961 7.421 2.250 Co
4.581 1.121 2.250 Co
5.392 8.232 0.000 Co
7.421 3.961 2.250 Co
8.232 5.392 0.000 Co
0.000 0.000 2.250 Ni
0.556 2.254 2.250 Ni
0.853 0.853 0.000 Ni
1.563 6.979 1.123 Ni
1.563 6.979 3.377 Ni
2.017 4.827 0.000 Ni
2.254 0.556 2.250 Ni
2.708 2.708 1.127 Ni
2.708 2.708 3.373 Ni
3.418 5.124 2.250 Ni
3.715 6.525 0.000 Ni
4.271 4.271 0.000 Ni
4.827 2.017 0.000 Ni
5.124 3.418 2.250 Ni
5.834 5.834 1.127 Ni
5.834 5.834 3.373 Ni
6.288 7.986 2.250 Ni
6.525 3.715 0.000 Ni
6.979 1.563 1.123 Ni
6.979 1.563 3.377 Ni
7.689 7.689 0.000 Ni
7.986 6.288 2.250 Ni
```

Peak list (10 most intense, 2θ = 10–90°, most intense first)
d (Å)	I_rel
1.882	100
2.072	93
1.939	71
1.838	50
2.013	39
1.991	37
2.250	23
1.215	21
1.203	20
1.228	17

=====

# 2
Diffraction record for CsNd2Cl7. The powder diffractogram is calculated, not measured: it uses a crystal structure in OQMD, relaxed with PBE and Cu Kα (λ = 1.5418 Å).
No peak broadening, texture or thermal motion is included.

Atomic structure:
```
CsNd2Cl7
1.0
4.357 -7.074 0.000
4.357 7.074 0.000
0.000 0.000 5.492
Cs Nd Cl
1 2 7
Cartesian
0.000 0.000 0.000 Cs
4.357 2.779 2.746 Nd
4.357 -2.779 2.746 Nd
1.639 1.988 2.746 Cl
4.357 2.951 0.000 Cl
1.639 -1.988 2.746 Cl
4.357 0.000 2.746 Cl
7.075 1.988 2.746 Cl
4.357 -2.951 0.000 Cl
7.075 -1.988 2.746 Cl
```

Peak list (10 most intense, 2θ = 10–90°, most intense first)
d (Å)	I_rel
4.348	100
2.746	65
4.148	61
4.414	53
2.417	41
5.492	39
2.473	35
2.526	31
1.838	27
3.074	27

=====

# 3
Diffraction record for Gd3Sn3Pb4. The powder diffractogram is calculated, not measured: it uses a crystal structure in OQMD, relaxed with PBE and Cu Kα (λ = 1.5418 Å).
No peak broadening, texture or thermal motion is included.

Atomic structure:
```
Gd3Sn3Pb4
1.0
2.312 -12.937 0.000
2.312 12.937 0.000
0.000 0.000 4.691
Gd Sn Pb
3 3 4
Cartesian
0.000 0.000 0.000 Gd
2.312 8.004 0.000 Gd
2.312 -8.004 0.000 Gd
2.312 5.408 2.346 Sn
2.312 0.000 2.346 Sn
2.312 -5.408 2.346 Sn
2.312 10.396 2.346 Pb
2.312 2.504 0.000 Pb
2.312 -2.504 0.000 Pb
2.312 -10.396 2.346 Pb
```

Peak list (10 most intense, 2θ = 10–90°, most intense first)
d (Å)	I_rel
2.778	100
2.587	19
2.346	16
2.312	16
1.528	14
1.424	13
1.409	13
1.738	12
1.724	11
1.389	11

=====

# 4
Diffraction record for ZrSn. The powder diffractogram is calculated, not measured: it uses a crystal structure in OQMD, relaxed with PBE and Cu Kα (λ = 1.5418 Å).
No peak broadening, texture or thermal motion is included.

Atomic structure:
```
ZrSn
1.0
5.375 0.000 0.000
0.000 7.878 2.707
0.000 -7.878 2.707
Zr Sn
5 5
Cartesian
0.000 0.000 0.000 Zr
0.000 -1.659 2.661 Zr
0.000 1.659 2.661 Zr
2.688 -6.312 2.463 Zr
2.688 6.312 2.463 Zr
0.000 -4.819 2.643 Sn
0.000 4.819 2.643 Sn
2.688 -3.149 2.538 Sn
2.688 0.000 2.389 Sn
2.688 3.149 2.538 Sn
```

Peak list (10 most intense, 2θ = 10–90°, most intense first)
d (Å)	I_rel
2.429	100
2.688	34
2.707	33
1.907	24
1.497	22
1.503	20
1.215	11
1.179	9
1.359	8
1.362	8

=====

# 5
Diffraction record for Sm3Ni4P4. The powder diffractogram is calculated, not measured: it uses a crystal structure in OQMD, relaxed with PBE and Cu Kα (λ = 1.5418 Å).
No peak broadening, texture or thermal motion is included.

Atomic structure:
```
Sm3Ni4P4
1.0
3.889 0.000 0.000
-1.945 3.368 0.000
0.000 0.000 14.360
Sm Ni P
3 4 4
Cartesian
0.000 0.000 0.000 Sm
0.000 0.000 4.007 Sm
0.000 0.000 10.354 Sm
0.000 2.245 2.015 Ni
0.000 2.245 8.024 Ni
1.945 1.123 6.337 Ni
1.945 1.123 12.346 Ni
0.000 2.245 5.801 P
0.000 2.245 12.365 P
1.945 1.123 1.995 P
1.945 1.123 8.559 P
```

Peak list (10 most intense, 2θ = 10–90°, most intense first)
d (Å)	I_rel
2.755	100
2.456	99
1.945	73
1.411	42
3.368	32
3.049	28
2.051	24
1.525	22
1.200	20
1.589	19

=====

# 6
Diffraction record for Ta3Ni7. The powder diffractogram is calculated, not measured: it uses a crystal structure in OQMD, relaxed with PBE and Cu Kα (λ = 1.5418 Å).
No peak broadening, texture or thermal motion is included.

Atomic structure:
```
Ta3Ni7
1.0
6.349 0.000 0.000
-2.501 5.946 0.000
-1.860 -2.616 6.732
Ta Ni
6 14
Cartesian
-1.189 0.406 2.429 Ta
0.765 2.464 0.830 Ta
1.872 -0.415 1.839 Ta
0.116 3.746 4.893 Ta
1.223 0.867 5.902 Ta
3.176 2.924 4.302 Ta
0.000 0.000 0.000 Ni
-1.581 -0.809 5.131 Ni
-2.737 1.497 6.463 Ni
-0.993 3.001 2.698 Ni
-1.042 1.479 4.772 Ni
0.602 -0.766 3.989 Ni
0.476 -1.768 6.315 Ni
0.994 1.665 3.366 Ni
1.512 5.099 0.417 Ni
1.385 4.096 2.743 Ni
3.030 1.852 1.959 Ni
2.980 0.330 4.034 Ni
4.724 1.834 0.269 Ni
3.569 4.140 1.601 Ni
```

Peak list (10 most intense, 2θ = 10–90°, most intense first)
d (Å)	I_rel
2.009	100
2.083	72
2.100	65
2.052	62
2.017	48
2.460	27
2.665	27
2.925	23
1.848	22
1.938	21

=====

# 7
Diffraction record for LaHoSn2. The powder diffractogram is calculated, not measured: it uses a crystal structure in OQMD, relaxed with PBE and Cu Kα (λ = 1.5418 Å).
No peak broadening, texture or thermal motion is included.

Atomic structure:
```
LaHoSn2
1.0
3.359 0.000 0.000
0.000 6.365 0.000
0.000 0.000 12.439
La Ho Sn
2 2 4
Cartesian
0.000 0.000 0.000 La
0.000 3.183 6.220 La
0.000 0.000 3.485 Ho
0.000 3.183 9.705 Ho
0.000 0.000 6.460 Sn
0.000 0.000 9.285 Sn
0.000 3.183 0.240 Sn
0.000 3.183 3.066 Sn
```

Peak list (10 most intense, 2θ = 10–90°, most intense first)
d (Å)	I_rel
3.359	100
3.183	87
2.310	73
3.110	72
1.855	67
2.282	62
2.224	57
1.340	23
1.305	22
1.485	19

=====

# 8
Diffraction record for Na2ScCuF7. The powder diffractogram is calculated, not measured: it uses a crystal structure in OQMD, relaxed with PBE and Cu Kα (λ = 1.5418 Å).
No peak broadening, texture or thermal motion is included.

Atomic structure:
```
Na2ScCuF7
1.0
10.033 0.000 0.000
0.000 7.117 0.000
0.000 0.000 7.297
Na Sc Cu F
8 4 4 28
Cartesian
0.000 0.000 0.000 Na
0.000 3.558 0.000 Na
2.383 1.779 1.936 Na
2.633 5.338 5.584 Na
5.017 0.000 3.649 Na
5.017 3.558 3.649 Na
7.400 1.779 1.713 Na
7.650 5.338 5.362 Na
2.230 1.779 5.393 Sc
2.787 5.338 1.744 Sc
7.247 1.779 5.553 Sc
7.803 5.338 1.905 Sc
0.000 0.000 3.649 Cu
0.000 3.558 3.649 Cu
5.017 0.000 0.000 Cu
5.017 3.558 0.000 Cu
0.829 1.779 3.672 F
1.214 3.621 5.297 F
1.214 7.055 5.297 F
1.417 1.779 7.265 F
1.428 3.951 2.398 F
1.428 6.724 2.398 F
1.516 5.338 0.198 F
3.501 1.779 3.847 F
3.589 0.393 6.046 F
3.589 3.166 6.046 F
3.600 5.338 3.617 F
3.802 0.062 1.648 F
3.802 3.496 1.648 F
4.188 5.338 0.023 F
5.845 1.779 7.274 F
6.231 3.621 5.649 F
6.231 7.055 5.649 F
6.434 1.779 3.681 F
6.444 3.951 1.251 F
6.444 6.724 1.251 F
6.533 5.338 3.451 F
8.517 1.779 7.100 F
8.606 0.393 4.900 F
8.606 3.166 4.900 F
8.617 5.338 0.032 F
8.819 0.062 2.001 F
8.819 3.496 2.001 F
9.205 5.338 3.626 F
```

Peak list (10 most intense, 2θ = 10–90°, most intense first)
d (Å)	I_rel
2.951	100
1.787	92
2.902	88
5.902	62
3.045	49
1.779	27
1.545	24
1.524	23
1.824	22
5.095	20